Entry 1:
For CaAg4P4O12, the PBE geometry in Alexandria gives the theoretical powder X-ray diffraction pattern in this record (copper Kα).

Principal peaks in the range 10 to 90 degrees two-theta, low angle first:
2theta, I (rel.), index
12.91, 541, 0 0 2
19.42, 610, 0 0 3
21.36, 618, 1 0 -1
21.81, 806, 0 1 2
26.63, 762, -1 1 1
27.85, 559, 1 -1 2
28.21, 636, 0 1 -4
31.01, 1000, 1 1 2
31.14, 842, 1 -1 3
37.14, 493, 1 -2 0

Structure:
abc: 4.315 5.762 13.895
angles: 98.91 92.02 92.09
Space group P1 (No. 1)
Inequivalent atoms, fractional coordinates:
Ca 0.000 0.000 0.000 [1 per cell]
Ag 0.042 0.156 0.799 [1 per cell]
Ag 0.223 0.231 0.313 [1 per cell]
Ag 0.401 0.821 0.452 [1 per cell]
Ag 0.544 0.873 0.803 [1 per cell]
P 0.113 0.719 0.190 [1 per cell]
P 0.337 0.494 0.620 [1 per cell]
P 0.611 0.504 0.060 [1 per cell]
P 0.793 0.279 0.489 [1 per cell]
O 0.064 0.466 0.534 [1 per cell]
O 0.220 0.442 0.715 [1 per cell]
O 0.265 0.664 0.280 [1 per cell]
O 0.341 0.678 0.097 [1 per cell]
O 0.494 0.728 0.615 [1 per cell]
O 0.496 0.249 0.038 [1 per cell]
O 0.559 0.279 0.577 [1 per cell]
O 0.648 0.384 0.405 [1 per cell]
O 0.769 0.621 0.984 [1 per cell]
O 0.844 0.515 0.155 [1 per cell]
O 0.913 0.035 0.465 [1 per cell]
O 0.994 0.959 0.180 [1 per cell]

---

Entry 2:
For PmHo2ScTl2, the PBE geometry in Alexandria gives the theoretical powder X-ray diffraction pattern in this record (copper Kα).

Principal peaks in the range 10 to 90 degrees two-theta, low angle first:
2theta, I (rel.), index
22.23, 115, 0 2 1
23.81, 108, 1 1 1
30.25, 129, 0 3 1
31.49, 295, 1 0 2
32.80, 1000, 1 3 0
35.32, 247, 1 3 1
36.07, 317, 2 0 0
37.88, 108, 0 3 2
43.37, 112, 0 2 3
62.79, 156, 3 3 0

Structure:
abc: 4.981 9.802 6.918
angles: 90.00 90.00 90.00
Space group Pmc2_1 (No. 26)
Inequivalent atoms, fractional coordinates:
Pm 0.000 0.048 0.000 [2 per cell]
Ho 0.000 0.314 0.392 [2 per cell]
Ho 0.500 0.451 0.099 [2 per cell]
Sc 0.500 0.198 0.712 [2 per cell]
Tl 0.000 0.365 0.838 [2 per cell]
Tl 0.500 0.125 0.276 [2 per cell]

---

Entry 3:
For NaMgAu, the PBE geometry in Alexandria gives the theoretical powder X-ray diffraction pattern in this record (copper Kα).

Principal peaks in the range 10 to 90 degrees two-theta, low angle first:
2theta, I (rel.), index
11.66, 495, 0 0 1
20.03, 285, 1 0 -1
25.38, 308, 0 1 0
26.02, 295, 1 0 1
26.12, 292, 1 0 -2
35.48, 290, 0 0 3
36.71, 1000, 1 1 1
38.86, 216, 2 0 -1
44.12, 200, 0 1 3
64.62, 190, 0 2 3

Structure:
abc: 4.635 3.509 7.927
angles: 90.00 106.78 90.00
Space group P2/m (No. 10)
Inequivalent atoms, fractional coordinates:
Na 0.000 0.000 0.000 [1 per cell]
Na 0.500 0.500 0.000 [1 per cell]
Mg 0.184 0.500 0.368 [2 per cell]
Au 0.332 0.000 0.667 [2 per cell]

---

Entry 4:
For Ba2BeGePd6, the PBE geometry in Alexandria gives the theoretical powder X-ray diffraction pattern in this record (copper Kα).

Principal peaks in the range 10 to 90 degrees two-theta, low angle first:
2theta, I (rel.), index
30.84, 690, 1 0 2
31.49, 274, -1 1 1
31.67, 537, 1 2 0
33.23, 1000, 2 0 0
33.49, 497, 2 2 2
38.19, 575, 0 2 2
38.33, 279, 2 2 0
40.66, 331, 1 0 -2
50.83, 282, 3 0 2
56.29, 310, 4 2 2

Structure:
abc: 6.537 6.538 6.759
angles: 61.37 61.28 60.48
Space group P-1 (No. 2)
Inequivalent atoms, fractional coordinates:
Ba 0.212 0.213 0.362 [2 per cell]
Be 0.000 0.000 0.000 [1 per cell]
Ge 0.500 0.500 0.500 [1 per cell]
Pd 0.241 0.669 0.848 [2 per cell]
Pd 0.242 0.240 0.847 [2 per cell]
Pd 0.330 0.759 0.153 [2 per cell]

---

Entry 5:
For La2FeTe, the PBE geometry in Alexandria gives the theoretical powder X-ray diffraction pattern in this record (copper Kα).

Principal peaks in the range 10 to 90 degrees two-theta, low angle first:
2theta, I (rel.), index
24.67, 149, 1 0 1
29.68, 319, 0 1 3
31.00, 166, 0 0 4
33.79, 1000, 1 1 2
37.19, 234, 0 2 0
46.02, 152, 1 0 5
47.88, 113, 2 0 0
60.59, 134, 1 2 5
62.14, 102, 2 2 0
64.89, 146, 1 3 2

Structure:
abc: 3.800 4.835 11.538
angles: 90.00 90.00 90.00
Space group Imm2 (No. 44)
Inequivalent atoms, fractional coordinates:
La 0.000 0.000 0.000 [2 per cell]
La 0.000 0.500 0.218 [2 per cell]
Fe 0.000 0.500 0.737 [2 per cell]
Te 0.000 0.000 0.411 [2 per cell]